(1)
# Cs2RbCl2F6
Computed X-ray diffraction stick pattern, a wavelength of 1.5418 Å. Input: a DFT-relaxed cell (GGA-PBE, Alexandria).

Top 6 peaks for 2θ = 10–90°, low angle first:
- (0 1 1), 4.739 Å, intensity 81.7
- (1 1 0), 3.648 Å, intensity 100.0
- (1 0 2), 3.116 Å, intensity 75.9
- (2 0 1), 2.891 Å, intensity 44.3
- (3 0 0), 2.106 Å, intensity 37.6
- (2 1 2), 1.987 Å, intensity 38.1

Structure:
```
data_Cs2RbCl2F6
_chemical_formula_sum 'Cs2 Rb1 Cl2 F6'
_cell_length_a 7.2959
_cell_length_b 7.2959
_cell_length_c 7.1634
_cell_angle_alpha 90.00
_cell_angle_beta 90.00
_cell_angle_gamma 120.00
_symmetry_space_group_name_H-M 'P -3'
_symmetry_Int_Tables_number 147
loop_
_symmetry_equiv_pos_as_xyz
'x,y,z'
'-x,-y,-z'
'-y,x-y,z'
'y,-x+y,-z'
'-x+y,-x,z'
'x-y,x,-z'
loop_
_atom_site_label
_atom_site_fract_x
_atom_site_fract_y
_atom_site_fract_z
Cs1 0.3333 0.6667 0.2973
Rb1 0.0000 0.0000 0.0000
Cl1 0.3333 0.6667 0.7884
F1 0.0681 0.3516 0.7797
```

---

(2)
# Mg16ZrAl12
Computed X-ray diffraction stick pattern, a wavelength of 1.5418 Å. Input: a DFT-relaxed cell (GGA-PBE, Alexandria).

Top 6 peaks for 2θ = 10–90°, low angle first:
- (1 1 0), 7.527 Å, intensity 33.6
- (3 3 0), 2.509 Å, intensity 54.9
- (0 5 1), 2.500 Å, intensity 33.6
- (2 3 2), 2.475 Å, intensity 99.9
- (0 3 3), 2.434 Å, intensity 100.0
- (5 1 1), 2.263 Å, intensity 48.7

Structure:
```
data_Mg16ZrAl12
_chemical_formula_sum 'Mg48 Zr3 Al36'
_cell_length_a 15.0538
_cell_length_b 15.0538
_cell_length_c 8.8126
_cell_angle_alpha 90.00
_cell_angle_beta 90.00
_cell_angle_gamma 120.00
_symmetry_space_group_name_H-M 'R 3 m'
_symmetry_Int_Tables_number 160
_symmetry_space_group_name_Hall 'R 3 -2"'
loop_
_atom_site_label
_atom_site_fract_x
_atom_site_fract_y
_atom_site_fract_z
Mg1 0.0000 0.0000 0.0000
Mg2 0.0060 0.3065 0.3068
Mg3 0.0636 0.5318 0.2180
Mg4 0.2179 0.1090 0.5059
Mg5 0.2202 0.4405 0.7852
Zr1 0.0000 0.0000 0.6271
Al1 0.0606 0.1211 0.3162
Al2 0.0905 0.5453 0.7377
Al3 0.1546 0.4865 0.4814
```

---

(3)
# K2H2PbCl4
Computed X-ray diffraction stick pattern, a wavelength of 1.5418 Å. Input: a DFT-relaxed cell (GGA-PBE, Alexandria).

Top 6 peaks for 2θ = 10–90°, low angle first:
- (1 0 1), 5.516 Å, intensity 100.0
- (0 0 2), 3.988 Å, intensity 21.1
- (1 1 2), 3.208 Å, intensity 55.4
- (2 1 1), 3.140 Å, intensity 55.4
- (2 2 0), 2.700 Å, intensity 40.8
- (3 1 2), 2.066 Å, intensity 32.0

Structure:
```
data_K2H2PbCl4
_chemical_formula_sum 'K4 H4 Pb2 Cl8'
_cell_length_a 7.6377
_cell_length_b 7.6377
_cell_length_c 7.9756
_cell_angle_alpha 90.00
_cell_angle_beta 90.00
_cell_angle_gamma 90.00
_symmetry_space_group_name_H-M 'I 4/m m m'
_symmetry_Int_Tables_number 139
_symmetry_space_group_name_Hall '-I 4 2'
loop_
_atom_site_label
_atom_site_fract_x
_atom_site_fract_y
_atom_site_fract_z
K1 0.0000 0.5000 0.2500
H1 0.0000 0.0000 0.2163
Pb1 0.0000 0.0000 0.0000
Cl1 0.2475 0.2475 0.5000
```